Structure and simulated powder XRD pattern of Li2Co4O5 (a PBE+U-relaxed structure; Cu Kα X-rays).

Main lines, by intensity (2θ = 10–90°):
d_spacing  I/Imax  (hkl)
2.159  100.0  2 2 2
2.484  63.2  2 2 -2
2.148  50.3  4 0 -4
1.528  28.5  6 2 -2
1.517  26.7  2 2 -6
2.505  21.6  4 0 0
4.968  17.1  1 1 -1
1.523  15.6  0 4 0
1.242  13.4  4 4 -4
1.531  11.9  4 0 4

Unit cell a=10.600 b=6.091 c=10.501 alpha=90.00 beta=109.06 gamma=90.00
Space group Cm (No. 8)
Unique sites:
Li 0.000 0.000 0.000 [2 per cell]
Li 0.011 0.000 0.800 [2 per cell]
Li 0.053 0.282 0.120 [4 per cell]
Li 0.220 0.000 0.077 [2 per cell]
Li 0.416 0.000 0.161 [2 per cell]
Co 0.000 0.000 0.334 [2 per cell]
Co 0.003 0.500 0.855 [2 per cell]
Co 0.009 0.246 0.599 [4 per cell]
Co 0.032 0.500 0.389 [2 per cell]
Co 0.251 0.240 0.854 [4 per cell]
Co 0.252 0.244 0.341 [4 per cell]
Co 0.257 0.500 0.094 [2 per cell]
Co 0.265 0.000 0.605 [2 per cell]
Co 0.266 0.500 0.606 [2 per cell]
O 0.111 0.000 0.204 [2 per cell]
O 0.117 0.500 0.243 [2 per cell]
O 0.128 0.256 0.972 [4 per cell]
O 0.138 0.000 0.715 [2 per cell]
O 0.139 0.238 0.477 [4 per cell]
O 0.141 0.500 0.729 [2 per cell]
O 0.363 0.267 0.213 [4 per cell]
O 0.372 0.000 0.972 [2 per cell]
O 0.384 0.253 0.732 [4 per cell]
O 0.386 0.500 0.478 [2 per cell]
O 0.387 0.000 0.474 [2 per cell]



Structure and simulated powder XRD pattern of Li9Co15O28 (a PBE+U-relaxed structure; Cu Kα X-rays).

Main lines, by intensity (2θ = 10–90°):
d_spacing  I/Imax  (hkl)
4.867  100.0  1 1 -1
2.101  25.8  3 0 1
2.063  24.6  1 -4 1
2.037  23.5  2 0 -4
1.472  19.8  4 -4 2
2.431  17.7  -1 1 3
2.509  12.7  2 -1 2
2.476  12.2  2 -3 0
2.386  11.6  1 -2 3
1.484  6.6  5 0 -3

Unit cell a=7.847 b=8.257 c=8.670 alpha=105.35 beta=104.25 gamma=104.31
Space group P-1 (No. 2)
Unique sites:
Li 0.000 0.000 0.000 [1 per cell]
Li 0.065 0.714 0.786 [2 per cell]
Li 0.158 0.416 0.573 [2 per cell]
Li 0.284 0.856 0.144 [2 per cell]
Li 0.365 0.568 0.932 [2 per cell]
Co 0.000 0.500 0.000 [1 per cell]
Co 0.075 0.216 0.792 [2 per cell]
Co 0.142 0.934 0.578 [2 per cell]
Co 0.212 0.639 0.356 [2 per cell]
Co 0.289 0.358 0.146 [2 per cell]
Co 0.366 0.074 0.933 [2 per cell]
Co 0.427 0.784 0.715 [2 per cell]
Co 0.500 0.000 0.500 [1 per cell]
Co 0.500 0.500 0.500 [1 per cell]
O 0.001 0.741 0.010 [2 per cell]
O 0.052 0.458 0.788 [2 per cell]
O 0.107 0.977 0.797 [2 per cell]
O 0.119 0.169 0.581 [2 per cell]
O 0.168 0.688 0.578 [2 per cell]
O 0.215 0.873 0.369 [2 per cell]
O 0.225 0.412 0.348 [2 per cell]
O 0.256 0.584 0.135 [2 per cell]
O 0.317 0.124 0.142 [2 per cell]
O 0.350 0.308 0.947 [2 per cell]
O 0.376 0.838 0.925 [2 per cell]
O 0.427 0.014 0.724 [2 per cell]
O 0.429 0.554 0.704 [2 per cell]
O 0.471 0.740 0.505 [2 per cell]



Structure and simulated powder XRD pattern of Li8Co5O10 (a PBE+U-relaxed structure; Cu Kα X-rays).

Main lines, by intensity (2θ = 10–90°):
d_spacing  I/Imax  (hkl)
3.453  100.0  1 2 -1
4.839  41.4  0 1 -2
2.136  31.1  2 0 -4
2.735  11.6  -2 1 2
2.088  11.5  -1 2 3
1.848  10.1  2 3 0
1.426  7.2  -4 3 2
1.671  7.2  1 -5 3
1.673  7.1  -1 1 5
1.633  6.6  3 -2 3

Unit cell a=6.648 b=8.646 c=10.085 alpha=112.67 beta=103.37 gamma=94.82
Space group P-1 (No. 2)
Unique sites:
Li 0.045 0.169 0.059 [2 per cell]
Li 0.076 0.449 0.257 [2 per cell]
Li 0.182 0.341 0.645 [2 per cell]
Li 0.189 0.031 0.541 [2 per cell]
Li 0.310 0.961 0.947 [2 per cell]
Li 0.313 0.658 0.853 [2 per cell]
Li 0.420 0.550 0.245 [2 per cell]
Li 0.450 0.832 0.447 [2 per cell]
Co 0.000 0.500 0.000 [1 per cell]
Co 0.099 0.097 0.298 [2 per cell]
Co 0.188 0.694 0.592 [2 per cell]
Co 0.309 0.306 0.907 [2 per cell]
Co 0.400 0.902 0.201 [2 per cell]
Co 0.500 0.500 0.500 [1 per cell]
O 0.011 0.837 0.527 [2 per cell]
O 0.095 0.771 0.778 [2 per cell]
O 0.137 0.460 0.850 [2 per cell]
O 0.186 0.387 0.079 [2 per cell]
O 0.189 0.991 0.114 [2 per cell]
O 0.313 0.610 0.421 [2 per cell]
O 0.331 0.998 0.379 [2 per cell]
O 0.364 0.537 0.649 [2 per cell]
O 0.417 0.221 0.724 [2 per cell]
O 0.494 0.160 0.963 [2 per cell]



Structure and simulated powder XRD pattern of Li2CoO3 (a PBE+U-relaxed structure; Cu Kα X-rays).

Main lines, by intensity (2θ = 10–90°):
d_spacing  I/Imax  (hkl)
4.782  100.0  0 1 -1
2.171  41.2  1 -2 0
2.036  36.1  1 2 -1
5.924  30.0  0 0 1
1.975  29.9  0 0 3
5.739  27.0  0 1 0
2.582  22.6  -1 1 1
3.677  21.4  0 1 1
1.485  19.3  2 0 -1
2.871  16.1  0 2 0

Unit cell a=2.978 b=5.951 c=6.302 alpha=103.57 beta=103.43 gamma=93.65
Space group P-1 (No. 2)
Unique sites:
Li 0.000 0.000 0.000 [1 per cell]
Li 0.000 0.500 0.000 [1 per cell]
Li 0.335 0.162 0.672 [2 per cell]
Co 0.335 0.680 0.676 [2 per cell]
O 0.154 0.575 0.356 [2 per cell]
O 0.192 0.103 0.335 [2 per cell]
O 0.486 0.736 0.970 [2 per cell]



Structure and simulated powder XRD pattern of Li3CoO3 (a PBE+U-relaxed structure; Cu Kα X-rays).

Main lines, by intensity (2θ = 10–90°):
d_spacing  I/Imax  (hkl)
3.347  100.0  1 0 1
6.179  48.9  1 1 0
3.908  38.6  2 1 0
2.185  37.5  4 0 0
3.126  32.4  1 1 1
1.574  25.0  5 0 1
1.829  20.2  4 1 1
1.395  14.5  4 0 2
1.812  14.3  0 0 2
1.277  14.0  5 4 1

Unit cell a=8.739 b=8.739 c=3.624 alpha=90.00 beta=90.00 gamma=90.00
Space group P4_2/mnm (No. 136)
Unique sites:
Li 0.104 0.357 0.000 [8 per cell]
Li 0.165 0.165 0.500 [4 per cell]
Co 0.115 0.885 0.000 [4 per cell]
O 0.099 0.099 0.000 [4 per cell]
O 0.111 0.679 0.000 [8 per cell]